Diffraction record for Dy4Sc. The powder XRD pattern is calculated, not measured: it uses the PBE geometry in Alexandria and a wavelength of 1.5418 Å.
Intensities are scaled so that the largest is 100.

Principal peaks in the range 15° ≤ 2θ ≤ 90°, sorted by position:
hkl 0 2 1, 2θ 28.1, d 3.180, I = 24; hkl 1 1 1, 2θ 31.3, d 2.861, I = 76; hkl 1 5 0, 2θ 32.1, d 2.788, I = 100; hkl 2 0 0, 2θ 33.3, d 2.688, I = 47; hkl 0 4 1, 2θ 34.0, d 2.635, I = 31; hkl 1 3 1, 2θ 35.0, d 2.562, I = 47; hkl 0 6 1, 2θ 42.3, d 2.136, I = 18; hkl 2 4 1, 2θ 48.4, d 1.882, I = 23; hkl 3 5 0, 2θ 58.8, d 1.571, I = 18; hkl 1 5 2, 2θ 63.3, d 1.469, I = 41

Cell and atoms:
```
data_Dy4Sc
_chemical_formula_sum 'Dy8 Sc2'
_symmetry_space_group_name_H-M 'C m m m'
_symmetry_Int_Tables_number 65
_symmetry_space_group_name_Hall '-C 2 2'
_cell_length_a 5.3761
_cell_length_b 16.3068
_cell_length_c 3.4534
_cell_angle_alpha 90.00
_cell_angle_beta 90.00
_cell_angle_gamma 90.00
loop_
_atom_site_label
_atom_site_type_symbol
_atom_site_fract_x
_atom_site_fract_y
_atom_site_fract_z
Dy1 Dy 0.0000 0.1072 0.0000
Dy2 Dy 0.0000 0.3036 0.5000
Sc1 Sc 0.0000 0.5000 0.5000
```

=====

Diffraction record for Pu12NiRh6. The powder XRD pattern is calculated, not measured: it uses the PBE geometry in Alexandria and a wavelength of 1.5418 Å.
Intensities are scaled so that the largest is 100.

Principal peaks in the range 15° ≤ 2θ ≤ 90°, sorted by position:
hkl 3 -1 1, 2θ 26.5, d 3.360, I = 37; hkl 3 0 0, 2θ 28.8, d 3.102, I = 26; hkl 3 -2 2, 2θ 29.8, d 2.993, I = 35; hkl 1 3 1, 2θ 35.7, d 2.517, I = 95; hkl 0 3 3, 2θ 37.4, d 2.403, I = 79; hkl 4 -1 2, 2θ 38.3, d 2.351, I = 53; hkl 0 1 5, 2θ 40.7, d 2.216, I = 100; hkl 4 2 2, 2θ 54.6, d 1.680, I = 29; hkl 1 4 6, 2θ 67.5, d 1.387, I = 42; hkl 5 -2 7, 2θ 73.1, d 1.295, I = 14

Cell and atoms:
```
data_Pu12NiRh6
_chemical_formula_sum 'Pu36 Ni3 Rh18'
_symmetry_space_group_name_H-M 'R -3'
_symmetry_Int_Tables_number 148
_symmetry_space_group_name_Hall '-R 3'
_cell_length_a 10.7422
_cell_length_b 10.7422
_cell_length_c 11.4103
_cell_angle_alpha 90.00
_cell_angle_beta 90.00
_cell_angle_gamma 120.00
loop_
_atom_site_label
_atom_site_type_symbol
_atom_site_fract_x
_atom_site_fract_y
_atom_site_fract_z
Pu1 Pu 0.0539 0.2361 0.4121
Pu2 Pu 0.0557 0.8721 0.7914
Ni1 Ni 0.0000 0.0000 0.0000
Rh1 Rh 0.0588 0.6033 0.7100
```

=====

Diffraction record for Pr6SnPb2Se3. The powder XRD pattern is calculated, not measured: it uses the PBE geometry in Alexandria and a wavelength of 1.5418 Å.
Intensities are scaled so that the largest is 100.

Principal peaks in the range 15° ≤ 2θ ≤ 90°, sorted by position:
hkl 6 0 0, 2θ 28.4, d 3.142, I = 100; hkl 7 1 -2, 2θ 40.4, d 2.232, I = 38; hkl 5 1 2, 2θ 40.8, d 2.211, I = 38; hkl 8 0 -4, 2θ 49.8, d 1.831, I = 7; hkl 6 2 0, 2θ 50.5, d 1.808, I = 21; hkl 2 2 -4, 2θ 58.8, d 1.571, I = 13; hkl 8 2 -4, 2θ 66.3, d 1.410, I = 17; hkl 4 2 4, 2θ 66.8, d 1.401, I = 12; hkl 11 1 2, 2θ 66.9, d 1.398, I = 6; hkl 12 2 0, 2θ 74.1, d 1.280, I = 9

Cell and atoms:
```
data_Pr6SnPb2Se3
_chemical_formula_sum 'Pr12 Sn2 Pb4 Se6'
_symmetry_space_group_name_H-M 'C 1 2/m 1'
_symmetry_Int_Tables_number 12
_cell_length_a 19.4155
_cell_length_b 4.4283
_cell_length_c 8.9249
_cell_angle_alpha 90.00
_cell_angle_beta 104.10
_cell_angle_gamma 90.00
loop_
_symmetry_equiv_pos_as_xyz
'x,y,z'
'-x,-y,-z'
'-x,y,-z'
'x,-y,z'
'x+1/2,y+1/2,z'
'-x+1/2,-y+1/2,-z'
'-x+1/2,y+1/2,-z'
'x+1/2,-y+1/2,z'
loop_
_atom_site_label
_atom_site_type_symbol
_atom_site_fract_x
_atom_site_fract_y
_atom_site_fract_z
Pr1 Pr 0.0030 0.0000 0.2466
Pr2 Pr 0.1632 0.5000 0.0906
Pr3 Pr 0.1684 0.5000 0.5751
Sn1 Sn 0.0000 0.5000 0.5000
Pb1 Pb 0.1669 0.0000 0.8335
Se1 Se 0.0000 0.5000 0.0000
Se2 Se 0.1667 0.0000 0.3335
```

=====

Diffraction record for NaCd4In5. The powder XRD pattern is calculated, not measured: it uses the PBE geometry in Alexandria and a wavelength of 1.5418 Å.
Intensities are scaled so that the largest is 100.

Principal peaks in the range 15° ≤ 2θ ≤ 90°, sorted by position:
hkl 0 0 3, 2θ 15.8, d 5.603, I = 2; hkl 1 1 0, 2θ 33.4, d 2.685, I = 100; hkl 1 0 5, 2θ 37.9, d 2.377, I = 36; hkl 0 2 0, 2θ 40.4, d 2.232, I = 15; hkl 2 0 0, 2θ 54.6, d 1.681, I = 11; hkl 1 2 5, 2θ 56.6, d 1.627, I = 21; hkl 2 1 5, 2θ 65.5, d 1.425, I = 25; hkl 1 3 0, 2θ 69.0, d 1.360, I = 11; hkl 2 2 0, 2θ 70.1, d 1.342, I = 11; hkl 2 0 10, 2θ 80.9, d 1.188, I = 3

Cell and atoms:
```
data_NaCd4In5
_chemical_formula_sum 'Na1 Cd4 In5'
_symmetry_space_group_name_H-M 'P m m m'
_symmetry_Int_Tables_number 47
_cell_length_a 3.3604
_cell_length_b 4.4634
_cell_length_c 16.8099
_cell_angle_alpha 90.00
_cell_angle_beta 90.00
_cell_angle_gamma 90.00
loop_
_symmetry_equiv_pos_as_xyz
'x,y,z'
'-x,-y,-z'
'-x,-y,z'
'x,y,-z'
'x,-y,-z'
'-x,y,z'
'-x,y,-z'
'x,-y,z'
loop_
_atom_site_label
_atom_site_type_symbol
_atom_site_fract_x
_atom_site_fract_y
_atom_site_fract_z
Na1 Na 0.0000 0.0000 0.0000
Cd1 Cd 0.0000 0.0000 0.2016
Cd2 Cd 0.0000 0.0000 0.3997
In1 In 0.5000 0.5000 0.1090
In2 In 0.5000 0.5000 0.3031
In3 In 0.5000 0.5000 0.5000
```

=====

Diffraction record for Pr4YSe5. The powder XRD pattern is calculated, not measured: it uses the PBE geometry in Alexandria and a wavelength of 1.5418 Å.
Intensities are scaled so that the largest is 100.

Principal peaks in the range 15° ≤ 2θ ≤ 90°, sorted by position:
hkl 1 0 5, 2θ 25.8, d 3.456, I = 17; hkl 0 0 10, 2θ 29.7, d 3.004, I = 49; hkl 1 1 0, 2θ 29.9, d 2.988, I = 100; hkl 1 1 10, 2θ 42.7, d 2.118, I = 72; hkl 2 0 0, 2θ 42.8, d 2.113, I = 37; hkl 2 0 10, 2θ 53.0, d 1.728, I = 38; hkl 1 1 20, 2θ 70.1, d 1.342, I = 14; hkl 2 2 10, 2θ 70.4, d 1.338, I = 16; hkl 3 1 0, 2θ 70.5, d 1.336, I = 17; hkl 3 1 10, 2θ 78.3, d 1.221, I = 24

Cell and atoms:
```
data_Pr4YSe5
_chemical_formula_sum 'Pr8 Y2 Se10'
_symmetry_space_group_name_H-M 'I 4/m m m'
_symmetry_Int_Tables_number 139
_symmetry_space_group_name_Hall '-I 4 2'
_cell_length_a 4.2257
_cell_length_b 4.2257
_cell_length_c 30.0394
_cell_angle_alpha 90.00
_cell_angle_beta 90.00
_cell_angle_gamma 90.00
loop_
_atom_site_label
_atom_site_type_symbol
_atom_site_fract_x
_atom_site_fract_y
_atom_site_fract_z
Pr1 Pr 0.0000 0.0000 0.1018
Pr2 Pr 0.0000 0.0000 0.3047
Y1 Y 0.0000 0.0000 0.5000
Se1 Se 0.0000 0.0000 0.0000
Se2 Se 0.0000 0.0000 0.2026
Se3 Se 0.0000 0.0000 0.4046
```

=====

Diffraction record for Ho5ScTl4. The powder XRD pattern is calculated, not measured: it uses the PBE geometry in Alexandria and a wavelength of 1.5418 Å.
Intensities are scaled so that the largest is 100.

Principal peaks in the range 15° ≤ 2θ ≤ 90°, sorted by position:
hkl 1 0 5, 2θ 32.8, d 2.733, I = 100; hkl 1 1 0, 2θ 35.1, d 2.558, I = 42; hkl 0 0 10, 2θ 43.4, d 2.085, I = 12; hkl 2 0 0, 2θ 50.5, d 1.809, I = 15; hkl 1 1 10, 2θ 57.0, d 1.616, I = 21; hkl 2 1 5, 2θ 61.5, d 1.508, I = 33; hkl 2 0 10, 2θ 68.7, d 1.366, I = 12; hkl 1 0 15, 2θ 72.9, d 1.298, I = 10; hkl 3 0 5, 2θ 83.4, d 1.158, I = 7; hkl 3 1 0, 2θ 84.7, d 1.144, I = 7

Cell and atoms:
```
data_Ho5ScTl4
_chemical_formula_sum 'Ho5 Sc1 Tl4'
_symmetry_space_group_name_H-M 'P 4/m m m'
_symmetry_Int_Tables_number 123
_symmetry_space_group_name_Hall '-P 4 2'
_cell_length_a 3.6175
_cell_length_b 3.6175
_cell_length_c 20.8523
_cell_angle_alpha 90.00
_cell_angle_beta 90.00
_cell_angle_gamma 90.00
loop_
_atom_site_label
_atom_site_type_symbol
_atom_site_fract_x
_atom_site_fract_y
_atom_site_fract_z
Ho1 Ho 0.0000 0.0000 0.0000
Ho2 Ho 0.0000 0.0000 0.1994
Ho3 Ho 0.0000 0.0000 0.3966
Sc1 Sc 0.5000 0.5000 0.5000
Tl1 Tl 0.5000 0.5000 0.0996
Tl2 Tl 0.5000 0.5000 0.2981
```

=====

Diffraction record for Nd4YEr. The powder XRD pattern is calculated, not measured: it uses the PBE geometry in Alexandria and a wavelength of 1.5418 Å.
Intensities are scaled so that the largest is 100.

Principal peaks in the range 15° ≤ 2θ ≤ 90°, sorted by position:
hkl 1 1 0, 2θ 30.1, d 2.972, I = 99; hkl 0 1 3, 2θ 30.2, d 2.960, I = 98; hkl 1 0 3, 2θ 34.9, d 2.568, I = 100; hkl 2 0 0, 2θ 50.1, d 1.821, I = 12; hkl 1 2 3, 2θ 50.2, d 1.816, I = 48; hkl 2 1 3, 2θ 59.6, d 1.551, I = 43; hkl 1 1 6, 2θ 59.8, d 1.547, I = 42; hkl 2 2 0, 2θ 62.5, d 1.486, I = 12; hkl 0 2 6, 2θ 62.8, d 1.480, I = 12; hkl 2 2 6, 2θ 84.3, d 1.149, I = 21

Cell and atoms:
```
data_Nd4YEr
_chemical_formula_sum 'Nd4 Y1 Er1'
_symmetry_space_group_name_H-M 'P m m m'
_symmetry_Int_Tables_number 47
_cell_length_a 3.6428
_cell_length_b 5.1379
_cell_length_c 10.8620
_cell_angle_alpha 90.00
_cell_angle_beta 90.00
_cell_angle_gamma 90.00
loop_
_symmetry_equiv_pos_as_xyz
'x,y,z'
'-x,-y,-z'
'-x,-y,z'
'x,y,-z'
'x,-y,-z'
'-x,y,z'
'-x,y,-z'
'x,-y,z'
loop_
_atom_site_label
_atom_site_type_symbol
_atom_site_fract_x
_atom_site_fract_y
_atom_site_fract_z
Nd1 Nd 0.0000 0.0000 0.1646
Nd2 Nd 0.5000 0.5000 0.3326
Y1 Y 0.0000 0.0000 0.5000
Er1 Er 0.5000 0.5000 0.0000
```

=====

Diffraction record for MnGaBr4. The powder XRD pattern is calculated, not measured: it uses the PBE geometry in Alexandria and a wavelength of 1.5418 Å.
Intensities are scaled so that the largest is 100.

Principal peaks in the range 15° ≤ 2θ ≤ 90°, sorted by position:
hkl 1 1 1, 2θ 17.9, d 4.967, I = 28; hkl 0 2 2, 2θ 27.6, d 3.231, I = 26; hkl 2 2 0, 2θ 27.8, d 3.214, I = 26; hkl 0 4 0, 2θ 31.2, d 2.864, I = 47; hkl 2 0 2, 2θ 32.5, d 2.756, I = 100; hkl 2 4 2, 2θ 45.7, d 1.986, I = 63; hkl 0 0 4, 2θ 46.4, d 1.957, I = 18; hkl 4 0 0, 2θ 46.8, d 1.941, I = 17; hkl 0 4 4, 2θ 57.0, d 1.616, I = 16; hkl 4 4 0, 2θ 57.3, d 1.607, I = 16

Cell and atoms:
```
data_MnGaBr4
_chemical_formula_sum 'Mn4 Ga4 Br16'
_symmetry_space_group_name_H-M 'C c c m'
_symmetry_Int_Tables_number 66
_symmetry_space_group_name_Hall '-C 2 2c'
_cell_length_a 7.7638
_cell_length_b 11.4564
_cell_length_c 7.8262
_cell_angle_alpha 90.00
_cell_angle_beta 90.00
_cell_angle_gamma 90.00
loop_
_atom_site_label
_atom_site_type_symbol
_atom_site_fract_x
_atom_site_fract_y
_atom_site_fract_z
Mn1 Mn 0.2500 0.2500 0.0000
Ga1 Ga 0.0000 0.0000 0.2500
Br1 Br 0.0000 0.2360 0.2500
Br2 Br 0.2458 0.4768 0.0000
```

=====

Diffraction record for Na12In7Ag. The powder XRD pattern is calculated, not measured: it uses the PBE geometry in Alexandria and a wavelength of 1.5418 Å.
Intensities are scaled so that the largest is 100.

Principal peaks in the range 15° ≤ 2θ ≤ 90°, sorted by position:
hkl 0 2 1, 2θ 17.4, d 5.095, I = 71; hkl 0 1 2, 2θ 17.7, d 5.021, I = 81; hkl 2 2 0, 2θ 27.0, d 3.306, I = 60; hkl 4 0 1, 2θ 32.3, d 2.773, I = 48; hkl 3 1 2, 2θ 32.4, d 2.761, I = 67; hkl 1 0 4, 2θ 33.0, d 2.714, I = 54; hkl 0 3 3, 2θ 33.6, d 2.666, I = 83; hkl 3 2 1, 2θ 35.1, d 2.557, I = 78; hkl 2 3 2, 2θ 37.8, d 2.377, I = 100; hkl 3 3 0, 2θ 41.0, d 2.204, I = 33

Cell and atoms:
```
data_Na12In7Ag
_chemical_formula_sum 'Na36 In21 Ag3'
_symmetry_space_group_name_H-M 'R -3 m'
_symmetry_Int_Tables_number 166
_symmetry_space_group_name_Hall '-R 3 2"'
_cell_length_a 13.2225
_cell_length_b 13.2225
_cell_length_c 11.1726
_cell_angle_alpha 90.00
_cell_angle_beta 90.00
_cell_angle_gamma 120.00
loop_
_atom_site_label
_atom_site_type_symbol
_atom_site_fract_x
_atom_site_fract_y
_atom_site_fract_z
Na1 Na 0.0000 0.2622 0.0000
Na2 Na 0.0816 0.1631 0.7451
In1 In 0.0000 0.0000 0.0000
In2 In 0.0683 0.5341 0.1215
Ag1 Ag 0.0000 0.0000 0.5000
```

=====

Diffraction record for CeSiSe6. The powder XRD pattern is calculated, not measured: it uses the PBE geometry in Alexandria and a wavelength of 1.5418 Å.
Intensities are scaled so that the largest is 100.

Principal peaks in the range 15° ≤ 2θ ≤ 90°, sorted by position:
hkl 1 1 1, 2θ 22.8, d 3.898, I = 33; hkl 0 0 2, 2θ 27.7, d 3.219, I = 18; hkl 2 0 1, 2θ 30.3, d 2.948, I = 62; hkl 1 1 -2, 2θ 30.5, d 2.934, I = 40; hkl 2 0 -2, 2θ 33.9, d 2.641, I = 30; hkl 2 2 -1, 2θ 34.4, d 2.610, I = 35; hkl 1 3 0, 2θ 35.5, d 2.527, I = 28; hkl 0 2 2, 2θ 35.6, d 2.519, I = 28; hkl 1 3 1, 2θ 39.1, d 2.305, I = 100; hkl 3 3 2, 2θ 62.3, d 1.491, I = 22

Cell and atoms:
```
data_CeSiSe6
_chemical_formula_sum 'Ce2 Si2 Se12'
_symmetry_space_group_name_H-M 'C 1 2/m 1'
_symmetry_Int_Tables_number 12
_cell_length_a 7.3528
_cell_length_b 8.0902
_cell_length_c 6.5341
_cell_angle_alpha 90.00
_cell_angle_beta 99.88
_cell_angle_gamma 90.00
loop_
_symmetry_equiv_pos_as_xyz
'x,y,z'
'-x,-y,-z'
'-x,y,-z'
'x,-y,z'
'x+1/2,y+1/2,z'
'-x+1/2,-y+1/2,-z'
'-x+1/2,y+1/2,-z'
'x+1/2,-y+1/2,z'
loop_
_atom_site_label
_atom_site_type_symbol
_atom_site_fract_x
_atom_site_fract_y
_atom_site_fract_z
Ce1 Ce 0.0000 0.0000 0.0000
Si1 Si 0.0000 0.5000 0.5000
Se1 Se 0.1638 0.3108 0.7636
Se2 Se 0.2117 0.0000 0.6759
```